No. 1
Starting from a crystal structure in Alexandria, relaxed with GGA+U, the powder diffractogram of Ba2VOF5 was computed for Cu Kα.

Atomic structure:
```
Ba2VOF5
1.0
0.000 4.147 4.359
4.029 0.000 4.359
4.029 4.147 0.000
Ba V O F
2 1 1 5
direct
0.000 0.000 0.500
0.500 0.500 0.000
0.256 0.256 0.744
0.466 0.466 0.534
0.013 0.013 0.987
0.469 0.984 0.531
0.487 0.999 0.001
0.984 0.469 0.016
0.999 0.487 0.513
```

The 10 most intense peaks (10° ≤ 2θ ≤ 80°), in order of rising 2θ:
2θ 20.37, I = 31
2θ 21.43, I = 29
2θ 22.06, I = 27
2θ 29.74, I = 67
2θ 30.21, I = 66
2θ 30.94, I = 58
2θ 37.33, I = 100
2θ 41.43, I = 30
2θ 43.65, I = 27
2θ 52.60, I = 26

=====

No. 2
Starting from a crystal structure in Alexandria, relaxed with GGA+U, the powder diffractogram of ZnCu3W4O16 was computed for Cu Kα.

Atomic structure:
```
ZnCu3W4O16
1.0
4.775 0.000 0.000
0.313 4.984 0.000
1.353 0.509 11.847
Zn Cu W O
1 3 4 16
direct
0.000 0.000 0.000
0.017 0.513 0.173
0.026 0.521 0.670
0.028 0.016 0.515
0.510 0.018 0.260
0.528 0.034 0.760
0.530 0.519 0.929
0.531 0.511 0.427
0.254 0.668 0.036
0.257 0.672 0.535
0.269 0.191 0.169
0.284 0.205 0.670
0.304 0.196 0.404
0.304 0.710 0.300
0.314 0.209 0.902
0.322 0.726 0.801
0.734 0.820 0.390
0.736 0.334 0.284
0.746 0.834 0.894
0.753 0.345 0.785
0.770 0.348 0.020
0.774 0.336 0.518
0.785 0.856 0.156
0.800 0.868 0.655
```

The 10 most intense peaks (10° ≤ 2θ ≤ 80°), in order of rising 2θ:
2θ 18.74, I = 68
2θ 22.70, I = 51
2θ 25.34, I = 48
2θ 27.89, I = 98
2θ 30.10, I = 100
2θ 30.89, I = 66
2θ 31.41, I = 60
2θ 34.56, I = 44
2θ 36.08, I = 44
2θ 55.07, I = 39